Diffraction record for LiMn2Fe. The powder X-ray diffraction pattern is simulated, not measured: it uses a PBE-relaxed structure and Cu Kα, 1.54184 Å.
Kinematic intensities with the Lorentz-polarization factor, no thermal factor.

Main lines, sorted by position (2θ = 10–80°):
10.41°, d 8.501, rel. 100, hkl 0 0 1
20.90°, d 4.250, rel. 11, hkl 0 0 2
41.39°, d 2.182, rel. 6, hkl 1 1 1
42.54°, d 2.125, rel. 21, hkl 0 0 4
45.50°, d 1.994, rel. 72, hkl 1 1 2
46.93°, d 1.936, rel. 17, hkl 0 2 0
51.78°, d 1.766, rel. 11, hkl 1 1 3
65.18°, d 1.431, rel. 10, hkl 0 2 4
67.42°, d 1.389, rel. 5, hkl 2 0 0
79.95°, d 1.200, rel. 10, hkl 1 1 6

Atomic structure:
a b c (Å): 2.7782 3.8724 8.5007
angles (deg): 90.00 90.00 90.00
Positions (direct):
Li 0.0000 0.0000 0.0000
Li 0.5000 0.5000 0.0000
Mn 0.0000 0.5000 0.2648
Mn 0.0000 0.5000 0.7352
Mn 0.5000 0.0000 0.2648
Mn 0.5000 0.0000 0.7352
Fe 0.0000 0.0000 0.5000
Fe 0.5000 0.5000 0.5000